# 1
This entry pairs a crystal structure of CuAg7 with its computed PXRD pattern. Radiation: a wavelength of 1.5418 Å. Structure: a crystal structure in OQMD, relaxed with PBE.
Neutral-atom scattering factors, no anomalous dispersion.

The 10 most intense peaks (2θ = 10–90°), in order of rising 2θ:
2θ = 24.30°, I = 1, hkl 0 0 2; 2θ = 38.04°, I = 100, hkl 1 1 2; 2θ = 44.08°, I = 16, hkl 4 0 0; 2θ = 44.27°, I = 32, hkl 0 2 0; 2θ = 64.25°, I = 20, hkl 4 2 0; 2θ = 64.40°, I = 10, hkl 2 2 -4; 2θ = 77.03°, I = 12, hkl 7 1 -2; 2θ = 77.24°, I = 11, hkl 5 1 -6; 2θ = 77.38°, I = 11, hkl 1 3 2; 2θ = 81.35°, I = 10, hkl 6 2 -4

Crystal structure
Lattice parameters (Å, degrees): 9.181 4.088 8.192 90.00 116.48 90.00
Space group C2/m (No. 12)
Inequivalent atoms, fractional coordinates:
Cu: 0.000 0.000 0.000 x2
Ag: 0.000 0.000 0.500 x2
Ag: 0.001 0.500 0.243 x4
Ag: 0.247 0.000 0.369 x4
Ag: 0.248 0.500 0.121 x4

***

# 2
This entry pairs a crystal structure of Cu3Ag2 with its computed PXRD pattern. Radiation: a wavelength of 1.5418 Å. Structure: a crystal structure in OQMD, relaxed with PBE.
Neutral-atom scattering factors, no anomalous dispersion.

The 10 most intense peaks (2θ = 10–90°), in order of rising 2θ:
2θ = 36.08°, I = 11, hkl 0 1 2; 2θ = 37.60°, I = 12, hkl 1 0 4; 2θ = 39.39°, I = 11, hkl 2 0 0; 2θ = 40.04°, I = 39, hkl 0 0 5; 2θ = 40.18°, I = 37, hkl 2 0 -1; 2θ = 41.32°, I = 100, hkl 1 1 2; 2θ = 45.15°, I = 61, hkl 1 1 -3; 2θ = 51.61°, I = 16, hkl 2 0 4; 2θ = 67.49°, I = 11, hkl 0 2 0; 2θ = 81.51°, I = 17, hkl 0 2 5

Crystal structure
Lattice parameters (Å, degrees): 4.576 2.776 11.260 90.00 90.28 90.00
Space group P2/m (No. 10)
Inequivalent atoms, fractional coordinates:
Cu: 0.000 0.000 0.000 x1
Cu: 0.157 0.500 0.180 x2
Cu: 0.236 0.000 0.366 x2
Cu: 0.500 0.500 0.000 x1
Ag: 0.254 0.500 0.578 x2
Ag: 0.340 0.000 0.802 x2

***

# 3
This entry pairs a crystal structure of Cu4Ag5 with its computed PXRD pattern. Radiation: a wavelength of 1.5418 Å. Structure: a crystal structure in OQMD, relaxed with PBE.
Neutral-atom scattering factors, no anomalous dispersion.

The 10 most intense peaks (2θ = 10–90°), in order of rising 2θ:
2θ = 35.80°, I = 5, hkl 0 0 8; 2θ = 39.30°, I = 100, hkl 1 0 3; 2θ = 40.45°, I = 24, hkl 0 0 9; 2θ = 46.04°, I = 56, hkl 0 1 6; 2θ = 66.35°, I = 20, hkl 1 1 0; 2θ = 67.95°, I = 13, hkl 1 0 12; 2θ = 79.92°, I = 11, hkl 0 2 3; 2θ = 80.67°, I = 17, hkl 1 1 9; 2θ = 82.17°, I = 5, hkl 0 1 15; 2θ = 84.53°, I = 9, hkl 2 0 6

Crystal structure
Lattice parameters (Å, degrees): 2.8178 2.8178 20.0677 90.00 90.00 120.00
Space group P-3m1 (No. 164)
Inequivalent atoms, fractional coordinates:
Cu: 0.3333 0.6667 0.0481 x2
Cu: 0.3333 0.6667 0.7314 x2
Ag: 0.0000 0.0000 0.1590 x2
Ag: 0.0000 0.0000 0.5000 x1
Ag: 0.3333 0.6667 0.3774 x2

***

# 4
This entry pairs a crystal structure of Cu3Ag7 with its computed PXRD pattern. Radiation: a wavelength of 1.5418 Å. Structure: a crystal structure in OQMD, relaxed with PBE.
Neutral-atom scattering factors, no anomalous dispersion.

The 10 most intense peaks (2θ = 10–90°), in order of rising 2θ:
2θ = 34.22°, I = 7, hkl 1 1 3; 2θ = 38.91°, I = 100, hkl 1 1 5; 2θ = 44.86°, I = 35, hkl 2 0 0; 2θ = 45.98°, I = 12, hkl 0 0 10; 2θ = 65.32°, I = 11, hkl 2 2 0; 2θ = 66.18°, I = 8, hkl 0 2 10; 2θ = 66.21°, I = 8, hkl 2 0 10; 2θ = 78.72°, I = 23, hkl 3 1 5; 2θ = 80.34°, I = 6, hkl 1 1 15; 2θ = 83.55°, I = 8, hkl 2 2 10

Crystal structure
Lattice parameters (Å, degrees): 4.039 4.042 19.737 90.00 90.00 90.00
Space group Amm2 (No. 38)
Inequivalent atoms, fractional coordinates:
Cu: 0.000 0.000 0.000 x2
Cu: 0.000 0.000 0.416 x2
Cu: 0.500 0.000 0.500 x2
Ag: 0.000 0.000 0.203 x2
Ag: 0.000 0.000 0.593 x2
Ag: 0.000 0.000 0.812 x2
Ag: 0.500 0.000 0.093 x2
Ag: 0.500 0.000 0.312 x2
Ag: 0.500 0.000 0.703 x2
Ag: 0.500 0.000 0.914 x2

***

# 5
This entry pairs a crystal structure of Cu3Ag2 with its computed PXRD pattern. Radiation: a wavelength of 1.5418 Å. Structure: a crystal structure in OQMD, relaxed with PBE.
Neutral-atom scattering factors, no anomalous dispersion.

The 10 most intense peaks (2θ = 10–90°), in order of rising 2θ:
2θ = 37.22°, I = 11, hkl 1 0 -4; 2θ = 37.33°, I = 12, hkl 1 0 4; 2θ = 39.47°, I = 14, hkl 2 0 0; 2θ = 39.65°, I = 25, hkl 0 0 5; 2θ = 40.28°, I = 32, hkl 2 0 -1; 2θ = 41.33°, I = 100, hkl 1 1 2; 2θ = 45.13°, I = 41, hkl 1 1 -3; 2θ = 51.43°, I = 14, hkl 2 0 4; 2θ = 67.68°, I = 10, hkl 0 2 0; 2θ = 71.17°, I = 11, hkl 2 0 -7

Crystal structure
Lattice parameters (Å, degrees): 4.567 2.769 11.365 90.00 90.19 90.00
Space group P2_1/m (No. 11)
Inequivalent atoms, fractional coordinates:
Cu: 0.076 0.250 0.087 x2
Cu: 0.234 0.750 0.258 x2
Cu: 0.418 0.250 0.911 x2
Ag: 0.249 0.250 0.461 x2
Ag: 0.264 0.750 0.704 x2

***

# 6
This entry pairs a crystal structure of Cu5Ag2 with its computed PXRD pattern. Radiation: a wavelength of 1.5418 Å. Structure: a crystal structure in OQMD, relaxed with PBE.
Neutral-atom scattering factors, no anomalous dispersion.

The 10 most intense peaks (2θ = 10–90°), in order of rising 2θ:
2θ = 41.10°, I = 100, hkl 1 1 -2; 2θ = 41.22°, I = 49, hkl 2 0 3; 2θ = 41.45°, I = 48, hkl 4 0 -1; 2θ = 47.45°, I = 65, hkl 3 1 1; 2θ = 48.96°, I = 29, hkl 2 0 -4; 2θ = 70.41°, I = 18, hkl 1 1 5; 2θ = 70.72°, I = 18, hkl 5 1 -3; 2θ = 83.68°, I = 11, hkl 2 2 3; 2θ = 83.83°, I = 11, hkl 4 2 -1; 2θ = 86.16°, I = 15, hkl 3 1 -6

Crystal structure
Lattice parameters (Å, degrees): 8.890 2.721 7.929 90.00 94.53 90.00
Space group C2/m (No. 12)
Inequivalent atoms, fractional coordinates:
Cu: 0.000 0.000 0.000 x2
Cu: 0.150 0.000 0.577 x4
Cu: 0.210 0.500 0.867 x4
Ag: 0.071 0.500 0.286 x4

***

# 7
This entry pairs a crystal structure of Cu3Ag2 with its computed PXRD pattern. Radiation: a wavelength of 1.5418 Å. Structure: a crystal structure in OQMD, relaxed with PBE.
Neutral-atom scattering factors, no anomalous dispersion.

The 10 most intense peaks (2θ = 10–90°), in order of rising 2θ:
2θ = 31.43°, I = 2, hkl 2 0 -2; 2θ = 35.36°, I = 1, hkl 1 1 0; 2θ = 40.60°, I = 100, hkl 1 1 -2; 2θ = 46.54°, I = 33, hkl 2 1 1; 2θ = 48.59°, I = 14, hkl 2 0 -4; 2θ = 67.94°, I = 10, hkl 0 2 0; 2θ = 69.56°, I = 18, hkl 0 1 5; 2θ = 82.25°, I = 22, hkl 1 2 3; 2θ = 85.29°, I = 9, hkl 3 1 -6; 2θ = 87.88°, I = 9, hkl 2 2 -4

Crystal structure
Lattice parameters (Å, degrees): 6.674 2.759 7.985 90.00 103.99 90.00
Space group Pm (No. 6)
Inequivalent atoms, fractional coordinates:
Cu: 0.000 0.000 0.000 x1
Cu: 0.078 0.500 0.304 x1
Cu: 0.177 0.000 0.591 x1
Cu: 0.279 0.500 0.876 x1
Cu: 0.564 0.000 0.797 x1
Cu: 0.800 0.000 0.397 x1
Ag: 0.372 0.000 0.181 x1
Ag: 0.482 0.500 0.499 x1
Ag: 0.701 0.500 0.091 x1
Ag: 0.882 0.500 0.704 x1

***

# 8
This entry pairs a crystal structure of Cu3Ag2 with its computed PXRD pattern. Radiation: a wavelength of 1.5418 Å. Structure: a crystal structure in OQMD, relaxed with PBE.
Neutral-atom scattering factors, no anomalous dispersion.

The 10 most intense peaks (2θ = 10–90°), in order of rising 2θ:
2θ = 40.53°, I = 100, hkl 0 0 2; 2θ = 40.63°, I = 34, hkl 2 0 0; 2θ = 46.95°, I = 42, hkl 1 5 1; 2θ = 47.63°, I = 22, hkl 2 0 -2; 2θ = 69.05°, I = 13, hkl 1 5 -3; 2θ = 69.19°, I = 13, hkl 3 5 -1; 2θ = 82.79°, I = 20, hkl 1 5 3; 2θ = 82.94°, I = 7, hkl 3 5 1; 2θ = 83.79°, I = 11, hkl 2 0 -4; 2θ = 87.70°, I = 9, hkl 0 0 4

Crystal structure
Lattice parameters (Å, degrees): 4.691 13.694 4.702 90.00 108.78 90.00
Space group C2 (No. 5)
Inequivalent atoms, fractional coordinates:
Cu: 0.000 0.000 0.000 x2
Cu: 0.000 0.090 0.500 x2
Cu: 0.000 0.181 0.000 x2
Cu: 0.000 0.283 0.500 x2
Cu: 0.000 0.490 0.500 x2
Cu: 0.000 0.584 0.000 x2
Ag: 0.000 0.391 0.000 x2
Ag: 0.000 0.680 0.500 x2
Ag: 0.000 0.783 0.000 x2
Ag: 0.000 0.896 0.500 x2

***

# 9
This entry pairs a crystal structure of CuAg9 with its computed PXRD pattern. Radiation: a wavelength of 1.5418 Å. Structure: a crystal structure in OQMD, relaxed with PBE.
Neutral-atom scattering factors, no anomalous dispersion.

The 10 most intense peaks (2θ = 10–90°), in order of rising 2θ:
2θ = 35.43°, I = 4, hkl 1 0 4; 2θ = 37.91°, I = 100, hkl 1 0 5; 2θ = 43.83°, I = 35, hkl 1 1 0; 2θ = 44.51°, I = 13, hkl 0 0 10; 2θ = 63.72°, I = 11, hkl 2 0 0; 2θ = 64.24°, I = 16, hkl 1 1 10; 2θ = 72.63°, I = 5, hkl 1 0 14; 2θ = 76.60°, I = 23, hkl 2 1 5; 2θ = 77.57°, I = 6, hkl 1 0 15; 2θ = 81.03°, I = 8, hkl 2 0 10

Crystal structure
Lattice parameters (Å, degrees): 2.921 2.921 20.357 90.00 90.00 90.00
Space group P4/mmm (No. 123)
Inequivalent atoms, fractional coordinates:
Cu: 0.000 0.000 0.000 x1
Ag: 0.000 0.000 0.190 x2
Ag: 0.000 0.000 0.397 x2
Ag: 0.500 0.500 0.087 x2
Ag: 0.500 0.500 0.293 x2
Ag: 0.500 0.500 0.500 x1

***

# 10
This entry pairs a crystal structure of CuAg9 with its computed PXRD pattern. Radiation: a wavelength of 1.5418 Å. Structure: a crystal structure in OQMD, relaxed with PBE.
Neutral-atom scattering factors, no anomalous dispersion.

The 10 most intense peaks (2θ = 10–90°), in order of rising 2θ:
2θ = 37.50°, I = 100, hkl 1 0 10; 2θ = 38.35°, I = 29, hkl 0 0 30; 2θ = 43.83°, I = 62, hkl 0 1 20; 2θ = 63.13°, I = 20, hkl 1 1 0; 2θ = 64.29°, I = 17, hkl 1 0 40; 2θ = 75.80°, I = 12, hkl 0 2 10; 2θ = 76.34°, I = 21, hkl 1 1 30; 2θ = 77.41°, I = 9, hkl 0 1 50; 2θ = 80.02°, I = 10, hkl 2 0 20; 2θ = 82.12°, I = 2, hkl 0 0 60

Crystal structure
Lattice parameters (Å, degrees): 2.9454 2.9454 70.4178 90.00 90.00 120.00
Space group R-3m (No. 166, hexagonal axes)
Inequivalent atoms, fractional coordinates:
Cu: 0.0000 0.0000 0.0000 x3
Ag: 0.0000 0.0000 0.0996 x6
Ag: 0.0000 0.0000 0.2001 x6
Ag: 0.0000 0.0000 0.3028 x6
Ag: 0.0000 0.0000 0.3986 x6
Ag: 0.0000 0.0000 0.5000 x3

***

# 11
This entry pairs a crystal structure of Cu3Ag2 with its computed PXRD pattern. Radiation: a wavelength of 1.5418 Å. Structure: a crystal structure in OQMD, relaxed with PBE.
Neutral-atom scattering factors, no anomalous dispersion.

The 10 most intense peaks (2θ = 10–90°), in order of rising 2θ:
2θ = 37.70°, I = 22, hkl 1 0 4; 2θ = 40.70°, I = 100, hkl 1 0 5; 2θ = 44.14°, I = 8, hkl 1 0 6; 2θ = 45.41°, I = 9, hkl 0 0 9; 2θ = 45.56°, I = 46, hkl 1 1 0; 2θ = 66.29°, I = 11, hkl 1 1 9; 2θ = 66.40°, I = 14, hkl 2 0 0; 2θ = 70.59°, I = 7, hkl 1 1 10; 2θ = 80.89°, I = 24, hkl 2 1 5; 2θ = 82.58°, I = 7, hkl 1 0 14

Crystal structure
Lattice parameters (Å, degrees): 2.816 2.816 17.976 90.00 90.00 90.00
Space group P4/nmm (No. 129, origin choice 2)
Inequivalent atoms, fractional coordinates:
Cu: 0.250 0.250 0.042 x2
Cu: 0.250 0.250 0.665 x2
Cu: 0.250 0.250 0.874 x2
Ag: 0.250 0.250 0.231 x2
Ag: 0.250 0.250 0.439 x2

***

# 12
This entry pairs a crystal structure of Cu5Ag2 with its computed PXRD pattern. Radiation: a wavelength of 1.5418 Å. Structure: a crystal structure in OQMD, relaxed with PBE.
Neutral-atom scattering factors, no anomalous dispersion.

The 10 most intense peaks (2θ = 10–90°), in order of rising 2θ:
2θ = 34.02°, I = 18, hkl 0 1 5; 2θ = 40.29°, I = 11, hkl 1 0 5; 2θ = 40.99°, I = 86, hkl 0 1 7; 2θ = 41.76°, I = 100, hkl 1 1 0; 2θ = 46.47°, I = 59, hkl 1 0 7; 2θ = 51.39°, I = 26, hkl 0 2 0; 2θ = 68.93°, I = 10, hkl 2 0 0; 2θ = 71.78°, I = 29, hkl 1 2 7; 2θ = 81.89°, I = 10, hkl 1 1 14; 2θ = 83.43°, I = 19, hkl 2 1 7

Crystal structure
Lattice parameters (Å, degrees): 2.725 3.556 19.626 90.00 90.00 90.00
Space group Immm (No. 71)
Inequivalent atoms, fractional coordinates:
Cu: 0.000 0.000 0.000 x2
Cu: 0.000 0.000 0.128 x4
Cu: 0.000 0.000 0.435 x4
Ag: 0.000 0.000 0.296 x4

***

# 13
This entry pairs a crystal structure of Cu3Ag7 with its computed PXRD pattern. Radiation: a wavelength of 1.5418 Å. Structure: a crystal structure in OQMD, relaxed with PBE.
Neutral-atom scattering factors, no anomalous dispersion.

The 10 most intense peaks (2θ = 10–90°), in order of rising 2θ:
2θ = 38.72°, I = 50, hkl 2 0 1; 2θ = 38.86°, I = 100, hkl 1 1 -2; 2θ = 38.99°, I = 45, hkl 0 0 5; 2θ = 44.55°, I = 64, hkl 1 1 3; 2θ = 46.41°, I = 28, hkl 2 0 -4; 2θ = 64.83°, I = 19, hkl 0 2 0; 2θ = 66.09°, I = 19, hkl 3 1 -1; 2θ = 66.47°, I = 16, hkl 1 1 -7; 2θ = 78.10°, I = 22, hkl 2 2 1; 2θ = 78.35°, I = 19, hkl 0 2 5

Crystal structure
Lattice parameters (Å, degrees): 4.874 2.876 11.609 90.00 95.81 90.00
Space group P2/m (No. 10)
Inequivalent atoms, fractional coordinates:
Cu: 0.000 0.000 0.000 x1
Cu: 0.107 0.500 0.816 x2
Ag: 0.200 0.000 0.617 x2
Ag: 0.296 0.500 0.403 x2
Ag: 0.376 0.000 0.196 x2
Ag: 0.500 0.500 0.000 x1